[1]
Starting from DFT lattice parameters and positions (PBE), the X-ray powder pattern of Dy3HoSe6 was simulated for Cu Kα, 1.54184 Å.

Main lines, in order of falling intensity (2θ = 10–90°):
hkl	d (Å)	Rel. int.
2 1 1	2.989	100
0 2 0	2.046	97
3 0 -1	3.851	77
4 1 -3	2.228	77
3 1 0	2.720	76
1 1 1	3.504	51
1 0 -3	3.948	51
1 1 4	2.146	49
2 0 -4	2.906	48
0 0 5	2.241	44

Cell and atoms:
```
data_Dy3HoSe6
_chemical_formula_sum 'Dy6 Ho2 Se12'
_cell_length_a 11.559
_cell_length_b 4.092
_cell_length_c 11.844
_cell_angle_alpha 90.00
_cell_angle_beta 109.10
_cell_angle_gamma 90.00
_symmetry_space_group_name_H-M 'P 1 21/m 1'
_symmetry_Int_Tables_number 11
loop_
_symmetry_equiv_pos_as_xyz
'x,y,z'
'-x,-y,-z'
'-x,y+1/2,-z'
'x,-y+1/2,z'
loop_
_atom_site_label
_atom_site_type_symbol
_atom_site_fract_x
_atom_site_fract_y
_atom_site_fract_z
Dy1 Dy 0.069 0.250 0.168
Dy2 Dy 0.183 0.750 0.502
Dy3 Dy 0.341 0.250 0.918
Ho1 Ho 0.457 0.250 0.309
Se1 Se 0.020 0.250 0.384
Se2 Se 0.103 0.250 0.937
Se3 Se 0.249 0.750 0.278
Se4 Se 0.309 0.750 0.750
Se5 Se 0.390 0.250 0.535
Se6 Se 0.417 0.750 0.100
```

[2]
Starting from DFT lattice parameters and positions (PBE), the X-ray powder pattern of LiIrPb2O4 was simulated for Cu Kα, 1.54184 Å.

Main lines, in order of falling intensity (2θ = 10–90°):
hkl	d (Å)	Rel. int.
1 1 1	4.912	100
1 1 5	3.144	80
0 2 6	2.908	74
2 2 0	2.533	57
1 3 5	2.512	52
1 3 1	3.183	36
0 4 0	2.956	35
2 4 6	1.737	34
1 5 5	1.914	27
0 0 4	5.012	25

Cell and atoms:
```
data_LiIrPb2O4
_chemical_formula_sum 'Li8 Ir8 Pb16 O32'
_cell_length_a 5.607
_cell_length_b 11.824
_cell_length_c 20.048
_cell_angle_alpha 90.00
_cell_angle_beta 90.00
_cell_angle_gamma 90.00
_symmetry_space_group_name_H-M 'F d d d'
_symmetry_Int_Tables_number 70
loop_
_symmetry_equiv_pos_as_xyz
'x,y,z'
'-x,-y,-z'
'-x+1/4,-y+1/4,z'
'x+1/4,y+1/4,-z'
'x,-y+1/4,-z+1/4'
'-x,y+1/4,z+1/4'
'-x+1/4,y,-z+1/4'
'x+1/4,-y,z+1/4'
'x,y+1/2,z+1/2'
'-x,-y+1/2,-z+1/2'
'-x+1/4,-y+3/4,z+1/2'
'x+1/4,y+3/4,-z+1/2'
'x,-y+3/4,-z+3/4'
'-x,y+3/4,z+3/4'
'-x+1/4,y+1/2,-z+3/4'
'x+1/4,-y+1/2,z+3/4'
'x+1/2,y,z+1/2'
'-x+1/2,-y,-z+1/2'
'-x+3/4,-y+1/4,z+1/2'
'x+3/4,y+1/4,-z+1/2'
'x+1/2,-y+1/4,-z+3/4'
'-x+1/2,y+1/4,z+3/4'
'-x+3/4,y,-z+3/4'
'x+3/4,-y,z+3/4'
'x+1/2,y+1/2,z'
'-x+1/2,-y+1/2,-z'
'-x+3/4,-y+3/4,z'
'x+3/4,y+3/4,-z'
'x+1/2,-y+3/4,-z+1/4'
'-x+1/2,y+3/4,z+1/4'
'-x+3/4,y+1/2,-z+1/4'
'x+3/4,-y+1/2,z+1/4'
loop_
_atom_site_label
_atom_site_type_symbol
_atom_site_fract_x
_atom_site_fract_y
_atom_site_fract_z
Li1 Li 0.125 0.125 0.125
Ir1 Ir 0.125 0.125 0.625
Pb1 Pb 0.125 0.125 0.441
O1 O 0.117 0.257 0.887
```

[3]
Starting from DFT lattice parameters and positions (PBE), the X-ray powder pattern of KUCu2Se4 was simulated for Cu Kα, 1.54184 Å.

Main lines, in order of falling intensity (2θ = 10–90°):
hkl	d (Å)	Rel. int.
0 1 1	5.736	100
1 1 2	3.238	73
2 2 0	2.527	57
0 2 2	2.868	52
2 0 2	2.603	31
1 1 4	1.946	30
1 2 1	3.128	24
1 2 3	2.158	21
2 3 1	1.991	20
1 3 2	2.104	20

Cell and atoms:
```
data_KUCu2Se4
_chemical_formula_sum 'K2 U2 Cu4 Se8'
_cell_length_a 6.620
_cell_length_b 7.827
_cell_length_c 8.432
_cell_angle_alpha 90.00
_cell_angle_beta 90.00
_cell_angle_gamma 90.00
_symmetry_space_group_name_H-M 'I 2 2 2'
_symmetry_Int_Tables_number 23
loop_
_symmetry_equiv_pos_as_xyz
'x,y,z'
'-x,-y,z'
'x,-y,-z'
'-x,y,-z'
'x+1/2,y+1/2,z+1/2'
'-x+1/2,-y+1/2,z+1/2'
'x+1/2,-y+1/2,-z+1/2'
'-x+1/2,y+1/2,-z+1/2'
loop_
_atom_site_label
_atom_site_type_symbol
_atom_site_fract_x
_atom_site_fract_y
_atom_site_fract_z
K1 K 0.000 0.000 0.000
U1 U 0.000 0.000 0.500
Cu1 Cu 0.000 0.500 0.148
Se1 Se 0.238 0.192 0.311
```

Copy entry 1 word for word.
Starting from DFT lattice parameters and positions (PBE), the X-ray powder pattern of Dy3HoSe6 was simulated for Cu Kα, 1.54184 Å.

Main lines, in order of falling intensity (2θ = 10–90°):
hkl	d (Å)	Rel. int.
2 1 1	2.989	100
0 2 0	2.046	97
3 0 -1	3.851	77
4 1 -3	2.228	77
3 1 0	2.720	76
1 1 1	3.504	51
1 0 -3	3.948	51
1 1 4	2.146	49
2 0 -4	2.906	48
0 0 5	2.241	44

Cell and atoms:
```
data_Dy3HoSe6
_chemical_formula_sum 'Dy6 Ho2 Se12'
_cell_length_a 11.559
_cell_length_b 4.092
_cell_length_c 11.844
_cell_angle_alpha 90.00
_cell_angle_beta 109.10
_cell_angle_gamma 90.00
_symmetry_space_group_name_H-M 'P 1 21/m 1'
_symmetry_Int_Tables_number 11
loop_
_symmetry_equiv_pos_as_xyz
'x,y,z'
'-x,-y,-z'
'-x,y+1/2,-z'
'x,-y+1/2,z'
loop_
_atom_site_label
_atom_site_type_symbol
_atom_site_fract_x
_atom_site_fract_y
_atom_site_fract_z
Dy1 Dy 0.069 0.250 0.168
Dy2 Dy 0.183 0.750 0.502
Dy3 Dy 0.341 0.250 0.918
Ho1 Ho 0.457 0.250 0.309
Se1 Se 0.020 0.250 0.384
Se2 Se 0.103 0.250 0.937
Se3 Se 0.249 0.750 0.278
Se4 Se 0.309 0.750 0.750
Se5 Se 0.390 0.250 0.535
Se6 Se 0.417 0.750 0.100
```

- Number 1 is which compound?
  Dy3HoSe6